1.
Starting from a crystal structure in the Materials Project, relaxed with GGA-PBE, the powder XRD pattern of Si7Ge was computed for Cu Kα (λ = 1.5418 Å).
Peak positions follow from Bragg's law for the DFT cell and can differ from measured ones.

```
data_Si7Ge
_chemical_formula_sum 'Si7 Ge1'
_symmetry_space_group_name_H-M 'P 1'
_symmetry_Int_Tables_number 1
_symmetry_space_group_name_Hall 'P 1'
_cell_length_a 5.4991
_cell_length_b 5.4991
_cell_length_c 5.4991
_cell_angle_alpha 90.00
_cell_angle_beta 90.00
_cell_angle_gamma 90.00
loop_
_atom_site_label
_atom_site_type_symbol
_atom_site_fract_x
_atom_site_fract_y
_atom_site_fract_z
Si1 Si 0.0000 0.0000 0.5000
Si2 Si 0.0000 0.5000 0.0000
Si3 Si 0.2471 0.2471 0.7529
Si4 Si 0.2471 0.7529 0.2471
Si5 Si 0.5000 0.0000 0.0000
Si6 Si 0.7529 0.2471 0.2471
Si7 Si 0.7529 0.7529 0.7529
Ge1 Ge 0.5000 0.5000 0.5000
```

Peak list (10 most intense, 10° ≤ 2θ ≤ 90°, sorted by position)
2θ/deg, intensity
16.1, 124
22.9, 128
28.1, 1000
36.5, 88
40.2, 63
46.7, 668
55.4, 409
68.2, 107
75.3, 166
86.8, 229

=====

2.
Starting from a crystal structure in the Materials Project, relaxed with GGA-PBE, the powder XRD pattern of SrSiGe was computed for Cu Kα (λ = 1.5418 Å).
Peak positions follow from Bragg's law for the DFT cell and can differ from measured ones.

```
data_SrSiGe
_chemical_formula_sum 'Sr1 Si1 Ge1'
_symmetry_space_group_name_H-M 'P 1'
_symmetry_Int_Tables_number 1
_symmetry_space_group_name_Hall 'P 1'
_cell_length_a 4.3342
_cell_length_b 4.3342
_cell_length_c 4.5315
_cell_angle_alpha 90.00
_cell_angle_beta 90.00
_cell_angle_gamma 120.00
loop_
_atom_site_label
_atom_site_type_symbol
_atom_site_fract_x
_atom_site_fract_y
_atom_site_fract_z
Sr1 Sr 0.0000 0.0000 0.0000
Si1 Si 0.6667 0.3333 0.5000
Ge1 Ge 0.3333 0.6667 0.5000
```

Peak list (10 most intense, 10° ≤ 2θ ≤ 90°, sorted by position)
2θ/deg, intensity
23.7, 129
30.9, 1000
39.8, 144
41.7, 378
52.8, 216
59.0, 266
66.8, 106
69.4, 189
76.1, 63
89.5, 86

=====

3.
Starting from a crystal structure in the Materials Project, relaxed with GGA-PBE, the powder XRD pattern of Th2SiGe was computed for Cu Kα (λ = 1.5418 Å).
Peak positions follow from Bragg's law for the DFT cell and can differ from measured ones.

```
data_Th2SiGe
_chemical_formula_sum 'Th4 Si2 Ge2'
_symmetry_space_group_name_H-M 'P 1'
_symmetry_Int_Tables_number 1
_symmetry_space_group_name_Hall 'P 1'
_cell_length_a 4.2602
_cell_length_b 5.9451
_cell_length_c 7.9292
_cell_angle_alpha 90.00
_cell_angle_beta 90.00
_cell_angle_gamma 90.00
loop_
_atom_site_label
_atom_site_type_symbol
_atom_site_fract_x
_atom_site_fract_y
_atom_site_fract_z
Th1 Th 0.0000 0.1193 0.0000
Th2 Th 0.0000 0.8807 0.5000
Th3 Th 0.5000 0.3756 0.6389
Th4 Th 0.5000 0.6244 0.1389
Si1 Si 0.5000 0.1070 0.2754
Si2 Si 0.5000 0.8930 0.7754
Ge1 Ge 0.0000 0.3900 0.3602
Ge2 Ge 0.0000 0.6100 0.8602
```

Peak list (10 most intense, 10° ≤ 2θ ≤ 90°, sorted by position)
2θ/deg, intensity
25.7, 508
28.1, 1000
30.8, 891
32.2, 950
34.4, 654
37.2, 413
38.6, 513
42.4, 364
51.0, 503
54.2, 447

=====

4.
Starting from a crystal structure in the Materials Project, relaxed with GGA-PBE, the powder XRD pattern of Th4SiGe was computed for Cu Kα (λ = 1.5418 Å).
Peak positions follow from Bragg's law for the DFT cell and can differ from measured ones.

```
data_Th4SiGe
_chemical_formula_sum 'Th8 Si2 Ge2'
_symmetry_space_group_name_H-M 'P 1'
_symmetry_Int_Tables_number 1
_symmetry_space_group_name_Hall 'P 1'
_cell_length_a 7.4089
_cell_length_b 7.4089
_cell_length_c 6.0419
_cell_angle_alpha 90.00
_cell_angle_beta 90.00
_cell_angle_gamma 90.00
loop_
_atom_site_label
_atom_site_type_symbol
_atom_site_fract_x
_atom_site_fract_y
_atom_site_fract_z
Th1 Th 0.1644 0.3356 0.2500
Th2 Th 0.1644 0.6644 0.7500
Th3 Th 0.3356 0.1644 0.7500
Th4 Th 0.3356 0.8356 0.2500
Th5 Th 0.6644 0.1644 0.2500
Th6 Th 0.6644 0.8356 0.7500
Th7 Th 0.8356 0.3356 0.7500
Th8 Th 0.8356 0.6644 0.2500
Si1 Si 0.0000 0.0000 0.0000
Si2 Si 0.5000 0.5000 0.5000
Ge1 Ge 0.0000 0.0000 0.5000
Ge2 Ge 0.5000 0.5000 0.0000
```

Peak list (10 most intense, 10° ≤ 2θ ≤ 90°, sorted by position)
2θ/deg, intensity
24.0, 101
29.6, 187
30.8, 1000
34.3, 134
38.4, 361
49.2, 101
53.2, 425
61.3, 198
70.2, 199
85.5, 127

=====

5.
Starting from a crystal structure in the Materials Project, relaxed with GGA-PBE, the powder XRD pattern of ThSiGe was computed for Cu Kα (λ = 1.5418 Å).
Peak positions follow from Bragg's law for the DFT cell and can differ from measured ones.

```
data_ThSiGe
_chemical_formula_sum 'Th4 Si4 Ge4'
_symmetry_space_group_name_H-M 'P 1'
_symmetry_Int_Tables_number 1
_symmetry_space_group_name_Hall 'P 1'
_cell_length_a 4.0591
_cell_length_b 4.1150
_cell_length_c 15.8025
_cell_angle_alpha 90.00
_cell_angle_beta 90.00
_cell_angle_gamma 90.00
loop_
_atom_site_label
_atom_site_type_symbol
_atom_site_fract_x
_atom_site_fract_y
_atom_site_fract_z
Th1 Th 0.0000 0.2500 0.1182
Th2 Th 0.0000 0.7500 0.8818
Th3 Th 0.5000 0.2500 0.3818
Th4 Th 0.5000 0.7500 0.6182
Si1 Si 0.0000 0.2500 0.5371
Si2 Si 0.0000 0.7500 0.4629
Si3 Si 0.5000 0.2500 0.9629
Si4 Si 0.5000 0.7500 0.0371
Ge1 Ge 0.0000 0.2500 0.6983
Ge2 Ge 0.0000 0.7500 0.3017
Ge3 Ge 0.5000 0.2500 0.8017
Ge4 Ge 0.5000 0.7500 0.1983
```

Peak list (10 most intense, 10° ≤ 2θ ≤ 90°, sorted by position)
2θ/deg, intensity
22.5, 268
22.6, 195
27.5, 403
33.0, 1000
36.0, 378
44.0, 154
45.9, 218
58.1, 192
65.9, 150
74.8, 150

=====

6.
Starting from a crystal structure in the Materials Project, relaxed with GGA-PBE, the powder XRD pattern of ThSiGe was computed for Cu Kα (λ = 1.5418 Å).
Peak positions follow from Bragg's law for the DFT cell and can differ from measured ones.

```
data_ThSiGe
_chemical_formula_sum 'Th4 Si4 Ge4'
_symmetry_space_group_name_H-M 'P 1'
_symmetry_Int_Tables_number 1
_symmetry_space_group_name_Hall 'P 1'
_cell_length_a 4.0828
_cell_length_b 4.0828
_cell_length_c 15.7064
_cell_angle_alpha 90.00
_cell_angle_beta 90.00
_cell_angle_gamma 90.00
loop_
_atom_site_label
_atom_site_type_symbol
_atom_site_fract_x
_atom_site_fract_y
_atom_site_fract_z
Th1 Th 0.0000 0.0000 0.0000
Th2 Th 0.0000 0.5000 0.2500
Th3 Th 0.5000 0.0000 0.7500
Th4 Th 0.5000 0.5000 0.5000
Si1 Si 0.0000 0.0000 0.4181
Si2 Si 0.0000 0.5000 0.6681
Si3 Si 0.5000 0.0000 0.1681
Si4 Si 0.5000 0.5000 0.9181
Ge1 Ge 0.0000 0.0000 0.5817
Ge2 Ge 0.0000 0.5000 0.8317
Ge3 Ge 0.5000 0.0000 0.3317
Ge4 Ge 0.5000 0.5000 0.0817
```

Peak list (10 most intense, 10° ≤ 2θ ≤ 90°, sorted by position)
2θ/deg, intensity
22.5, 285
22.6, 258
27.7, 504
33.1, 1000
36.1, 491
44.4, 305
46.2, 293
50.4, 207
58.5, 247
66.0, 231

=====

7.
Starting from a crystal structure in the Materials Project, relaxed with GGA-PBE, the powder XRD pattern of V10Si3Ge3 was computed for Cu Kα (λ = 1.5418 Å).
Peak positions follow from Bragg's law for the DFT cell and can differ from measured ones.

```
data_V10Si3Ge3
_chemical_formula_sum 'V10 Si3 Ge3'
_symmetry_space_group_name_H-M 'P 1'
_symmetry_Int_Tables_number 1
_symmetry_space_group_name_Hall 'P 1'
_cell_length_a 7.1983
_cell_length_b 7.1983
_cell_length_c 4.8955
_cell_angle_alpha 90.00
_cell_angle_beta 90.00
_cell_angle_gamma 120.00
loop_
_atom_site_label
_atom_site_type_symbol
_atom_site_fract_x
_atom_site_fract_y
_atom_site_fract_z
V1 V 0.0000 0.2493 0.0000
V2 V 0.0000 0.7542 0.5000
V3 V 0.2458 0.2458 0.5000
V4 V 0.2493 0.0000 0.0000
V5 V 0.3333 0.6667 0.2551
V6 V 0.3333 0.6667 0.7449
V7 V 0.6667 0.3333 0.2551
V8 V 0.6667 0.3333 0.7449
V9 V 0.7507 0.7507 0.0000
V10 V 0.7542 0.0000 0.5000
Si1 Si 0.0000 0.3906 0.5000
Si2 Si 0.3906 0.0000 0.5000
Si3 Si 0.6094 0.6094 0.5000
Ge1 Ge 0.0000 0.6071 0.0000
Ge2 Ge 0.3929 0.3929 0.0000
Ge3 Ge 0.6071 0.0000 0.0000
```

Peak list (10 most intense, 10° ≤ 2θ ≤ 90°, sorted by position)
2θ/deg, intensity
36.7, 199
38.2, 312
39.6, 118
42.6, 1000
43.6, 501
44.8, 777
56.4, 170
64.2, 150
70.2, 205
87.9, 141

=====

8.
Starting from a crystal structure in the Materials Project, relaxed with GGA-PBE, the powder XRD pattern of V10Si3Ge3 was computed for Cu Kα (λ = 1.5418 Å).
Peak positions follow from Bragg's law for the DFT cell and can differ from measured ones.

```
data_V10Si3Ge3
_chemical_formula_sum 'V10 Si3 Ge3'
_symmetry_space_group_name_H-M 'P 1'
_symmetry_Int_Tables_number 1
_symmetry_space_group_name_Hall 'P 1'
_cell_length_a 9.4925
_cell_length_b 7.1442
_cell_length_c 7.1161
_cell_angle_alpha 83.47
_cell_angle_beta 48.39
_cell_angle_gamma 48.14
loop_
_atom_site_label
_atom_site_type_symbol
_atom_site_fract_x
_atom_site_fract_y
_atom_site_fract_z
V1 V 0.0980 0.9020 0.0980
V2 V 0.2451 0.4406 0.5594
V3 V 0.4005 0.7464 0.2536
V4 V 0.4162 0.9205 0.5838
V5 V 0.4406 0.2451 0.7549
V6 V 0.5915 0.9416 0.0584
V7 V 0.7464 0.4005 0.5995
V8 V 0.9020 0.0980 0.9020
V9 V 0.9205 0.4162 0.0795
V10 V 0.9416 0.5915 0.4085
Si1 Si 0.0049 0.3364 0.6636
Si2 Si 0.3364 0.0049 0.9951
Si3 Si 0.5047 0.5047 0.4953
Ge1 Ge 0.4204 0.4204 0.0796
Ge2 Ge 0.8363 0.8363 0.1637
Ge3 Ge 0.9204 0.9204 0.5796
```

Peak list (10 most intense, 10° ≤ 2θ ≤ 90°, sorted by position)
2θ/deg, intensity
18.7, 181
37.9, 245
38.9, 182
39.1, 312
42.1, 757
42.5, 536
42.7, 381
43.6, 1000
46.4, 645
71.7, 205

=====

9.
Starting from a crystal structure in the Materials Project, relaxed with GGA-PBE, the powder XRD pattern of Si5GeW10 was computed for Cu Kα (λ = 1.5418 Å).
Peak positions follow from Bragg's law for the DFT cell and can differ from measured ones.

```
data_Si5GeW10
_chemical_formula_sum 'Si5 Ge1 W10'
_symmetry_space_group_name_H-M 'P 1'
_symmetry_Int_Tables_number 1
_symmetry_space_group_name_Hall 'P 1'
_cell_length_a 7.3111
_cell_length_b 7.3111
_cell_length_c 7.3111
_cell_angle_alpha 96.75
_cell_angle_beta 96.75
_cell_angle_gamma 139.90
loop_
_atom_site_label
_atom_site_type_symbol
_atom_site_fract_x
_atom_site_fract_y
_atom_site_fract_z
Si1 Si 0.0000 0.0000 0.0000
Si2 Si 0.0813 0.5813 0.1627
Si3 Si 0.4187 0.9187 0.8373
Si4 Si 0.5813 0.4187 0.5000
Si5 Si 0.9187 0.0813 0.5000
Ge1 Ge 0.5000 0.5000 0.0000
W1 W 0.0000 0.5000 0.5000
W2 W 0.0198 0.3224 0.8478
W3 W 0.1720 0.0198 0.6974
W4 W 0.3224 0.4746 0.3026
W5 W 0.4746 0.1720 0.1522
W6 W 0.5000 0.0000 0.5000
W7 W 0.5254 0.6776 0.6974
W8 W 0.6776 0.9802 0.1522
W9 W 0.8280 0.5254 0.8478
W10 W 0.9802 0.8280 0.3026
```

Peak list (10 most intense, 10° ≤ 2θ ≤ 90°, sorted by position)
2θ/deg, intensity
27.2, 593
29.1, 310
35.8, 266
37.0, 258
37.9, 818
40.5, 401
41.6, 673
42.4, 1000
44.8, 747
69.1, 308

=====

10.
Starting from a crystal structure in the Materials Project, relaxed with GGA-PBE, the powder XRD pattern of Y10Si3Ge3 was computed for Cu Kα (λ = 1.5418 Å).
Peak positions follow from Bragg's law for the DFT cell and can differ from measured ones.

```
data_Y10Si3Ge3
_chemical_formula_sum 'Y10 Si3 Ge3'
_symmetry_space_group_name_H-M 'P 1'
_symmetry_Int_Tables_number 1
_symmetry_space_group_name_Hall 'P 1'
_cell_length_a 8.4928
_cell_length_b 8.4928
_cell_length_c 6.3955
_cell_angle_alpha 90.00
_cell_angle_beta 90.00
_cell_angle_gamma 120.00
loop_
_atom_site_label
_atom_site_type_symbol
_atom_site_fract_x
_atom_site_fract_y
_atom_site_fract_z
Y1 Y 0.0000 0.2451 0.0000
Y2 Y 0.0000 0.7546 0.5000
Y3 Y 0.2451 0.0000 0.0000
Y4 Y 0.2454 0.2454 0.5000
Y5 Y 0.3333 0.6667 0.2475
Y6 Y 0.3333 0.6667 0.7525
Y7 Y 0.6667 0.3333 0.2475
Y8 Y 0.6667 0.3333 0.7525
Y9 Y 0.7546 0.0000 0.5000
Y10 Y 0.7549 0.7549 0.0000
Si1 Si 0.0000 0.6083 0.0000
Si2 Si 0.3917 0.3917 0.0000
Si3 Si 0.6083 0.0000 0.0000
Ge1 Ge 0.0000 0.3916 0.5000
Ge2 Ge 0.3916 0.0000 0.5000
Ge3 Ge 0.6084 0.6084 0.5000
```

Peak list (10 most intense, 10° ≤ 2θ ≤ 90°, sorted by position)
2θ/deg, intensity
27.9, 88
30.5, 152
32.2, 200
35.2, 1000
36.7, 232
51.7, 121
54.2, 145
56.4, 72
57.8, 95
70.5, 67

=====

11.
Starting from a crystal structure in the Materials Project, relaxed with GGA-PBE, the powder XRD pattern of SmGe was computed for Cu Kα (λ = 1.5418 Å).
Peak positions follow from Bragg's law for the DFT cell and can differ from measured ones.

```
data_SmGe
_chemical_formula_sum 'Sm4 Ge4'
_symmetry_space_group_name_H-M 'P 1'
_symmetry_Int_Tables_number 1
_symmetry_space_group_name_Hall 'P 1'
_cell_length_a 4.4102
_cell_length_b 10.9468
_cell_length_c 4.0164
_cell_angle_alpha 90.00
_cell_angle_beta 90.00
_cell_angle_gamma 90.00
loop_
_atom_site_label
_atom_site_type_symbol
_atom_site_fract_x
_atom_site_fract_y
_atom_site_fract_z
Sm1 Sm 0.0000 0.1385 0.2500
Sm2 Sm 0.0000 0.8615 0.7500
Sm3 Sm 0.5000 0.3615 0.7500
Sm4 Sm 0.5000 0.6385 0.2500
Ge1 Ge 0.0000 0.4176 0.2500
Ge2 Ge 0.0000 0.5824 0.7500
Ge3 Ge 0.5000 0.0824 0.7500
Ge4 Ge 0.5000 0.9176 0.2500
```

Peak list (10 most intense, 10° ≤ 2θ ≤ 90°, sorted by position)
2θ/deg, intensity
27.5, 203
31.2, 1000
31.8, 350
32.7, 301
39.1, 538
39.9, 151
40.9, 263
45.1, 198
53.4, 150
62.6, 149

=====

12.
Starting from a crystal structure in the Materials Project, relaxed with GGA-PBE, the powder XRD pattern of SmGe2 was computed for Cu Kα (λ = 1.5418 Å).
Peak positions follow from Bragg's law for the DFT cell and can differ from measured ones.

```
data_SmGe2
_chemical_formula_sum 'Sm4 Ge8'
_symmetry_space_group_name_H-M 'P 1'
_symmetry_Int_Tables_number 1
_symmetry_space_group_name_Hall 'P 1'
_cell_length_a 4.0889
_cell_length_b 4.0889
_cell_length_c 16.3993
_cell_angle_alpha 90.00
_cell_angle_beta 90.00
_cell_angle_gamma 90.00
loop_
_atom_site_label
_atom_site_type_symbol
_atom_site_fract_x
_atom_site_fract_y
_atom_site_fract_z
Sm1 Sm 0.0000 0.2500 0.3750
Sm2 Sm 0.0000 0.7500 0.6250
Sm3 Sm 0.5000 0.2500 0.1250
Sm4 Sm 0.5000 0.7500 0.8750
Ge1 Ge 0.0000 0.2500 0.7960
Ge2 Ge 0.0000 0.2500 0.9540
Ge3 Ge 0.0000 0.7500 0.0460
Ge4 Ge 0.0000 0.7500 0.2040
Ge5 Ge 0.5000 0.2500 0.5460
Ge6 Ge 0.5000 0.2500 0.7040
Ge7 Ge 0.5000 0.7500 0.2960
Ge8 Ge 0.5000 0.7500 0.4540
```

Peak list (10 most intense, 10° ≤ 2θ ≤ 90°, sorted by position)
2θ/deg, intensity
27.2, 284
32.8, 1000
35.1, 563
44.3, 365
44.6, 339
57.7, 265
64.4, 124
64.7, 221
74.3, 186
85.5, 103